No. 1
# Li7Mn2Co3O12
Theoretical powder X-ray diffraction pattern, Cu Kα, 1.54184 Å. Input: a PBE+U-relaxed structure.

Principal peaks in the range 10° ≤ 2θ ≤ 90°, in order of rising 2θ:
12.37°, I 9
18.28°, I 100
36.19°, I 25
36.37°, I 12
43.58°, I 56
44.09°, I 27
47.95°, I 8
57.26°, I 10
63.28°, I 15
64.13°, I 21

Atomic structure:
a b c (Å): 7.803 7.803 10.225
angles (deg): 110.60 110.60 21.47
Fractional positions:
1 Li 0.000 0.000 0.000
2 Li 0.001 0.001 0.471
3 Li 0.157 0.157 0.400
4 Li 0.325 0.325 0.829
5 Li 0.326 0.326 0.320
6 Li 0.659 0.659 0.632
7 Li 0.663 0.663 0.180
8 Mn 0.498 0.498 0.740
9 Mn 0.825 0.825 0.564
10 Co 0.172 0.172 0.920
11 Co 0.499 0.499 0.240
12 Co 0.837 0.837 0.077
13 O 0.070 0.070 0.703
14 O 0.071 0.071 0.202
15 O 0.246 0.246 0.110
16 O 0.259 0.259 0.613
17 O 0.408 0.408 0.545
18 O 0.413 0.413 0.036
19 O 0.574 0.574 0.433
20 O 0.578 0.578 0.929
21 O 0.745 0.745 0.871
22 O 0.757 0.757 0.381
23 O 0.918 0.918 0.269
24 O 0.922 0.922 0.768

No. 2
# Li7Mn4CoO12
Theoretical powder X-ray diffraction pattern, Cu Kα, 1.54184 Å. Input: a PBE+U-relaxed structure.

Principal peaks in the range 10° ≤ 2θ ≤ 90°, in order of rising 2θ:
18.35°, I 100
18.45°, I 11
34.49°, I 16
36.34°, I 34
41.62°, I 29
44.22°, I 57
58.24°, I 8
62.17°, I 16
62.50°, I 11
65.01°, I 8

Atomic structure:
a b c (Å): 5.088 5.088 15.752
angles (deg): 97.54 97.54 32.75
Fractional positions:
1 Li 0.000 0.000 0.000
2 Li 0.229 0.229 0.237
3 Li 0.250 0.250 0.581
4 Li 0.261 0.261 0.928
5 Li 0.739 0.739 0.072
6 Li 0.750 0.750 0.419
7 Li 0.771 0.771 0.763
8 Mn 0.014 0.014 0.672
9 Mn 0.477 0.477 0.154
10 Mn 0.523 0.523 0.846
11 Mn 0.986 0.986 0.328
12 Co 0.500 0.500 0.500
13 O 0.096 0.096 0.127
14 O 0.111 0.111 0.462
15 O 0.132 0.132 0.802
16 O 0.375 0.375 0.049
17 O 0.375 0.375 0.370
18 O 0.408 0.408 0.718
19 O 0.592 0.592 0.282
20 O 0.625 0.625 0.630
21 O 0.625 0.625 0.951
22 O 0.868 0.868 0.198
23 O 0.889 0.889 0.538
24 O 0.904 0.904 0.873